For SrCaGaN, a crystal structure in Alexandria, relaxed with PBE gives the computed powder XRD pattern in this record (λ = 1.5418 Å (Cu Kα)).
Intensities are scaled so that the largest is 1000.

Top 6 peaks for 10 to 80 degrees two-theta, by angle:
d [Å]	2θ/deg	I_rel
5.931	14.94	178
2.773	32.28	1000
2.751	32.54	699
1.946	46.69	243
1.606	57.39	189
1.593	57.90	368

Cell lengths 6.538, 6.538, 6.538 Å; angles 145.38, 145.38, 49.77 degrees
Sites, in units of the cell vectors:
Sr 0.000 0.000 0.000
Ca 0.294 0.294 0.000
Ga 0.651 0.651 0.000
N 0.485 0.485 0.000

---

For Ir3Os3Rh5, a crystal structure in Alexandria, relaxed with PBE gives the computed powder XRD pattern in this record (λ = 1.5418 Å (Cu Kα)).
Intensities are scaled so that the largest is 1000.

Top 6 peaks for 10 to 80 degrees two-theta, by angle:
d [Å]	2θ/deg	I_rel
2.522	35.60	573
2.282	39.49	509
2.184	41.34	531
2.097	43.14	1000
1.954	46.48	686
1.692	54.22	541

Cell lengths 8.731, 8.731, 2.677 Å; angles 90.00, 90.00, 120.00 degrees
Sites, in units of the cell vectors:
Ir 0.000 0.582 0.000
Ir 0.418 0.418 0.000
Ir 0.582 0.000 0.000
Os 0.000 0.834 0.500
Os 0.166 0.166 0.500
Os 0.834 0.000 0.500
Rh 0.000 0.332 0.500
Rh 0.332 0.000 0.500
Rh 0.333 0.667 0.500
Rh 0.667 0.333 0.500
Rh 0.668 0.668 0.500

---

For CaNdMgAg, a crystal structure in Alexandria, relaxed with PBE gives the computed powder XRD pattern in this record (λ = 1.5418 Å (Cu Kα)).
Intensities are scaled so that the largest is 1000.

Top 6 peaks for 10 to 80 degrees two-theta, by angle:
d [Å]	2θ/deg	I_rel
4.401	20.18	386
2.695	33.24	1000
2.298	39.20	217
1.906	47.72	176
1.556	59.40	358
1.205	79.53	150

Cell lengths 5.390, 5.390, 5.390 Å; angles 60.00, 60.00, 60.00 degrees
Sites, in units of the cell vectors:
Ca 0.000 0.000 0.000
Nd 0.500 0.500 0.500
Mg 0.250 0.250 0.250
Ag 0.750 0.750 0.750

---

For LiCrPt, a crystal structure in Alexandria, relaxed with PBE gives the computed powder XRD pattern in this record (λ = 1.5418 Å (Cu Kα)).
Intensities are scaled so that the largest is 1000.

Top 6 peaks for 10 to 80 degrees two-theta, by angle:
d [Å]	2θ/deg	I_rel
3.524	25.27	1000
2.151	42.01	991
2.035	44.53	536
1.762	51.89	149
1.628	56.52	162
1.478	62.88	300

Cell lengths 4.069, 4.069, 5.431 Å; angles 90.00, 90.00, 120.00 degrees
Sites, in units of the cell vectors:
Li 0.333 0.667 0.000
Li 0.667 0.333 0.000
Cr 0.333 0.667 0.500
Cr 0.667 0.333 0.500
Pt 0.000 0.000 0.253
Pt 0.000 0.000 0.747

---

For CdHg2F5, a crystal structure in Alexandria, relaxed with PBE gives the computed powder XRD pattern in this record (λ = 1.5418 Å (Cu Kα)).
Intensities are scaled so that the largest is 1000.

Top 6 peaks for 10 to 80 degrees two-theta, by angle:
d [Å]	2θ/deg	I_rel
3.226	27.65	548
3.054	29.24	1000
2.965	30.14	614
2.309	39.02	429
2.164	41.74	412
1.527	60.65	408

Cell lengths 10.402, 7.051, 6.452 Å; angles 90.00, 90.00, 90.00 degrees
Sites, in units of the cell vectors:
Cd 0.003 0.250 0.052
Cd 0.497 0.750 0.552
Cd 0.503 0.250 0.448
Cd 0.997 0.750 0.948
Hg 0.171 0.501 0.522
Hg 0.171 0.999 0.522
Hg 0.329 0.001 0.022
Hg 0.329 0.499 0.022
Hg 0.671 0.501 0.978
Hg 0.671 0.999 0.978
Hg 0.829 0.001 0.478
Hg 0.829 0.499 0.478
F 0.005 0.250 0.442
F 0.100 0.526 0.150
F 0.100 0.974 0.150
F 0.178 0.250 0.826
F 0.208 0.750 0.811
F 0.292 0.250 0.311
F 0.322 0.750 0.326
F 0.400 0.026 0.650
F 0.400 0.474 0.650
F 0.495 0.750 0.942
F 0.505 0.250 0.058
F 0.600 0.526 0.350
F 0.600 0.974 0.350
F 0.678 0.250 0.674
F 0.708 0.750 0.689
F 0.792 0.250 0.189
F 0.822 0.750 0.174
F 0.900 0.026 0.850
F 0.900 0.474 0.850
F 0.995 0.750 0.558

---

For Tb3ErCo, a crystal structure in Alexandria, relaxed with PBE gives the computed powder XRD pattern in this record (λ = 1.5418 Å (Cu Kα)).
Intensities are scaled so that the largest is 1000.

Top 6 peaks for 10 to 80 degrees two-theta, by angle:
d [Å]	2θ/deg	I_rel
2.927	30.54	594
2.906	30.76	1000
2.891	30.93	323
2.621	34.21	280
2.580	34.77	334
1.756	52.07	188

Cell lengths 7.119, 7.119, 8.141 Å; angles 124.67, 124.67, 71.37 degrees
Sites, in units of the cell vectors:
Tb 0.047 0.047 0.340
Tb 0.048 0.453 0.208
Tb 0.453 0.048 0.208
Tb 0.547 0.952 0.792
Tb 0.952 0.547 0.792
Tb 0.953 0.953 0.660
Er 0.453 0.453 0.749
Er 0.547 0.547 0.251
Co 0.250 0.250 0.871
Co 0.750 0.750 0.129

---

For CaCuB2, a crystal structure in Alexandria, relaxed with PBE gives the computed powder XRD pattern in this record (λ = 1.5418 Å (Cu Kα)).
Intensities are scaled so that the largest is 1000.

Top 6 peaks for 10 to 80 degrees two-theta, by angle:
d [Å]	2θ/deg	I_rel
3.753	23.71	171
3.592	24.78	435
2.568	34.94	1000
1.944	46.73	209
1.806	50.54	326
1.710	53.60	269

Cell lengths 7.693, 7.693, 7.693 Å; angles 150.72, 150.72, 41.88 degrees
Sites, in units of the cell vectors:
Ca 0.375 0.625 0.750
Ca 0.625 0.375 0.250
Cu 0.125 0.875 0.250
Cu 0.875 0.125 0.750
B 0.000 0.000 0.000
B 0.000 0.000 0.500
B 0.000 0.500 0.000
B 0.500 0.000 0.500

---

For AsSeF2, a crystal structure in Alexandria, relaxed with PBE gives the computed powder XRD pattern in this record (λ = 1.5418 Å (Cu Kα)).
Intensities are scaled so that the largest is 1000.

Top 6 peaks for 10 to 80 degrees two-theta, by angle:
d [Å]	2θ/deg	I_rel
7.913	11.18	447
4.312	20.60	928
3.884	22.89	1000
2.795	32.02	582
2.605	34.43	273
2.571	34.89	326

Cell lengths 4.280, 5.143, 15.874 Å; angles 90.00, 94.47, 90.00 degrees
Sites, in units of the cell vectors:
As 0.171 0.236 0.114
As 0.171 0.264 0.614
As 0.829 0.736 0.386
As 0.829 0.764 0.886
Se 0.443 0.681 0.262
Se 0.443 0.819 0.762
Se 0.557 0.181 0.238
Se 0.557 0.319 0.738
F 0.090 0.600 0.597
F 0.090 0.900 0.097
F 0.458 0.247 0.539
F 0.458 0.253 0.039
F 0.542 0.747 0.961
F 0.542 0.753 0.461
F 0.910 0.100 0.903
F 0.910 0.400 0.403